# Mg6CuSnO8
Theoretical PXRD pattern, copper Kα. Input: a structure optimized by DFT (GGA-PBE).

Crystal structure
```
data_Mg6CuSnO8
_space_group_name_H-M_alt 'P 4/m m m'
_space_group_IT_number 123
_space_group_name_Hall '-P 4 2'
_cell_length_a 4.351
_cell_length_b 4.351
_cell_length_c 8.894
_cell_angle_alpha 90.00
_cell_angle_beta 90.00
_cell_angle_gamma 90.00
loop_
_atom_site_label
_atom_site_fract_x
_atom_site_fract_y
_atom_site_fract_z
_atom_site_occupancy
Mg1 0.000 0.000 0.000 1
Mg2 0.000 0.500 0.239 1
Mg3 0.500 0.500 0.000 1
Cu1 0.000 0.000 0.500 1
Sn1 0.500 0.500 0.500 1
O1 0.000 0.000 0.232 1
O2 0.000 0.500 0.000 1
O3 0.000 0.500 0.500 1
O4 0.500 0.500 0.238 1
```

Top 8 peaks for 2θ from 5° to 70°, low angle first:
d [Å], 2theta, Rel. int., hkl
8.894, 9.9, 97.5, 0 0 1
4.447, 20.0, 28.8, 0 0 2
2.907, 30.8, 39.9, 1 1 1
2.530, 35.5, 63.3, 1 1 2
2.224, 40.6, 51.6, 0 0 4
2.175, 41.5, 100.0, 2 0 0
1.555, 59.4, 60.1, 2 0 4
1.539, 60.1, 36.8, 2 2 0